Entry 1:
The following is a theoretical powder X-ray diffraction pattern of Y3VN4. It was derived from the PBE geometry in Alexandria, using λ = 1.5418 Å (Cu Kα).

Largest 10 diffraction maxima, sorted by position, 2θ = 10–90°:
2θ/deg, d_spacing, I/Imax
26.94, 3.309, 55
32.55, 2.751, 100
36.30, 2.475, 30
45.78, 1.982, 22
47.60, 1.910, 40
58.85, 1.569, 19
61.30, 1.512, 33
62.95, 1.476, 15
78.95, 1.213, 16
82.58, 1.168, 7

Crystal structure
a = 7.644 Å, b = 6.616 Å, c = 4.949 Å
α = 90.00°, β = 90.00°, γ = 90.00°
Fractional coordinates of all 16 atoms:
1 Y 0.000 0.149 0.000
2 Y 0.247 0.331 0.501
3 Y 0.253 0.669 0.001
4 Y 0.500 0.851 0.500
5 Y 0.747 0.669 0.001
6 Y 0.753 0.331 0.501
7 V 0.000 0.824 0.455
8 V 0.500 0.176 0.955
9 N 0.000 0.117 0.496
10 N 0.000 0.820 0.066
11 N 0.226 0.690 0.499
12 N 0.274 0.310 0.999
13 N 0.500 0.180 0.566
14 N 0.500 0.883 0.996
15 N 0.726 0.310 0.999
16 N 0.774 0.690 0.499

---

Entry 2:
The following is a theoretical powder X-ray diffraction pattern of Zr7V5N2. It was derived from the PBE geometry in Alexandria, using λ = 1.5418 Å (Cu Kα).

Largest 10 diffraction maxima, sorted by position, 2θ = 10–90°:
2θ/deg, d_spacing, I/Imax
31.65, 2.827, 30
31.74, 2.819, 16
35.68, 2.517, 30
35.79, 2.509, 47
37.95, 2.371, 100
38.03, 2.366, 63
41.51, 2.176, 25
64.10, 1.453, 14
64.24, 1.450, 43
77.21, 1.235, 15

Crystal structure
a = 8.702 Å, b = 8.702 Å, c = 8.702 Å
α = 120.15°, β = 119.79°, γ = 90.05°
Fractional coordinates of all 28 atoms:
1 Zr 0.000 0.000 0.000
2 Zr 0.189 0.443 0.378
3 Zr 0.189 0.810 0.746
4 Zr 0.190 0.440 0.750
5 Zr 0.436 0.190 0.878
6 Zr 0.436 0.557 0.246
7 Zr 0.439 0.189 0.250
8 Zr 0.500 0.000 0.500
9 Zr 0.561 0.811 0.750
10 Zr 0.564 0.443 0.754
11 Zr 0.564 0.810 0.122
12 Zr 0.810 0.560 0.250
13 Zr 0.811 0.190 0.254
14 Zr 0.811 0.557 0.622
15 V 0.000 0.000 0.500
16 V 0.000 0.500 0.000
17 V 0.114 0.213 0.901
18 V 0.189 0.787 0.401
19 V 0.191 0.107 0.416
20 V 0.191 0.775 0.084
21 V 0.809 0.225 0.916
22 V 0.809 0.893 0.584
23 V 0.811 0.213 0.599
24 V 0.886 0.787 0.099
25 N 0.000 0.500 0.500
26 N 0.500 0.000 0.000
27 N 0.500 0.500 0.000
28 N 0.500 0.500 0.500

---

Entry 3:
The following is a theoretical powder X-ray diffraction pattern of Zn3WN4. It was derived from the PBE geometry in Alexandria, using λ = 1.5418 Å (Cu Kα).

Largest 10 diffraction maxima, sorted by position, 2θ = 10–90°:
2θ/deg, d_spacing, I/Imax
19.25, 4.611, 8
21.33, 4.166, 24
33.37, 2.685, 100
38.55, 2.335, 25
39.07, 2.306, 12
55.67, 1.651, 14
56.05, 1.641, 27
66.48, 1.406, 26
67.18, 1.394, 13
70.10, 1.342, 9

Crystal structure
a = 5.672 Å, b = 5.672 Å, c = 5.672 Å
α = 131.37°, β = 131.37°, γ = 71.22°
Fractional coordinates of all 8 atoms:
1 Zn 0.000 0.000 0.000
2 Zn 0.250 0.750 0.500
3 Zn 0.750 0.250 0.500
4 W 0.500 0.500 0.000
5 N 0.148 0.148 0.533
6 N 0.385 0.852 0.000
7 N 0.615 0.615 0.467
8 N 0.852 0.385 0.000